Record 1
# TbMg2F8
Simulated XRD peak list, Cu Kα X-rays. Input: a crystal structure in Alexandria, relaxed with GGA-PBE.
Peak positions follow from Bragg's law for the DFT cell and can differ from measured ones.

Peak list (10 most intense, 10° ≤ 2θ ≤ 90°, low angle first)
- 19.3 deg, I = 100.0
- 24.8 deg, I = 11.6
- 29.9 deg, I = 58.0
- 30.4 deg, I = 29.5
- 39.2 deg, I = 10.4
- 40.6 deg, I = 27.5
- 47.4 deg, I = 19.5
- 49.3 deg, I = 39.5
- 50.9 deg, I = 18.3
- 60.2 deg, I = 15.7

Atomic structure:
abc: 6.483 6.483 6.483
angles: 133.94 133.94 67.18
Element x y z (fractional)
Tb  0.000  0.000  0.000
Mg  0.250  0.750  0.500
Mg  0.750  0.250  0.500
F  0.109  0.109  0.489
F  0.109  0.619  0.000
F  0.381  0.381  0.489
F  0.381  0.891  0.000
F  0.619  0.109  0.000
F  0.619  0.619  0.511
F  0.891  0.381  0.000
F  0.891  0.891  0.511



Record 2
# Pm2Si3AgPd4
Simulated XRD peak list, Cu Kα X-rays. Input: a crystal structure in Alexandria, relaxed with GGA-PBE.
Peak positions follow from Bragg's law for the DFT cell and can differ from measured ones.

Peak list (10 most intense, 10° ≤ 2θ ≤ 90°, low angle first)
- 27.2 deg, I = 10.2
- 33.6 deg, I = 36.8
- 34.5 deg, I = 100.0
- 42.3 deg, I = 47.3
- 49.3 deg, I = 21.6
- 55.1 deg, I = 17.7
- 56.1 deg, I = 8.3
- 61.4 deg, I = 15.4
- 67.0 deg, I = 17.1
- 72.4 deg, I = 22.4

Atomic structure:
abc: 4.270 4.270 10.244
angles: 90.00 90.00 90.00
Element x y z (fractional)
Pm  0.000  0.500  0.249
Pm  0.500  0.000  0.751
Si  0.000  0.000  0.000
Si  0.000  0.500  0.622
Si  0.500  0.000  0.378
Ag  0.500  0.500  0.000
Pd  0.000  0.000  0.500
Pd  0.000  0.500  0.851
Pd  0.500  0.000  0.149
Pd  0.500  0.500  0.500



Record 3
# Na2ErGeSe4
Simulated XRD peak list, Cu Kα X-rays. Input: a crystal structure in Alexandria, relaxed with GGA-PBE.
Peak positions follow from Bragg's law for the DFT cell and can differ from measured ones.

Peak list (10 most intense, 10° ≤ 2θ ≤ 90°, low angle first)
- 13.1 deg, I = 16.0
- 13.4 deg, I = 47.5
- 25.3 deg, I = 17.6
- 30.7 deg, I = 50.5
- 30.9 deg, I = 100.0
- 43.6 deg, I = 18.1
- 44.2 deg, I = 71.7
- 45.0 deg, I = 17.7
- 54.3 deg, I = 18.2
- 55.5 deg, I = 18.3

Atomic structure:
abc: 8.204 8.204 8.204
angles: 121.21 119.18 89.67
Element x y z (fractional)
Na  0.000  0.000  0.000
Na  0.500  0.000  0.000
Na  0.500  0.000  0.500
Na  0.500  0.500  0.500
Er  0.000  0.500  0.500
Er  0.500  0.500  0.000
Ge  0.000  0.000  0.500
Ge  0.000  0.500  0.000
Se  0.222  0.745  0.477
Se  0.233  0.255  0.977
Se  0.237  0.246  0.509
Se  0.237  0.729  0.991
Se  0.763  0.271  0.009
Se  0.763  0.754  0.491
Se  0.767  0.745  0.023
Se  0.778  0.255  0.523



Record 4
# Dy6HoAg
Simulated XRD peak list, Cu Kα X-rays. Input: a crystal structure in Alexandria, relaxed with GGA-PBE.
Peak positions follow from Bragg's law for the DFT cell and can differ from measured ones.

Peak list (10 most intense, 10° ≤ 2θ ≤ 90°, low angle first)
- 27.4 deg, I = 24.7
- 28.8 deg, I = 23.5
- 30.9 deg, I = 100.0
- 33.5 deg, I = 13.5
- 33.7 deg, I = 29.0
- 34.8 deg, I = 86.1
- 38.6 deg, I = 14.3
- 47.9 deg, I = 18.7
- 52.3 deg, I = 27.4
- 64.4 deg, I = 13.1

Atomic structure:
abc: 6.258 6.258 6.258
angles: 95.46 95.46 95.46
Element x y z (fractional)
Dy  0.044  0.762  0.569
Dy  0.238  0.431  0.956
Dy  0.431  0.956  0.238
Dy  0.569  0.044  0.762
Dy  0.762  0.569  0.044
Dy  0.956  0.238  0.431
Ho  0.500  0.500  0.500
Ag  0.000  0.000  0.000



Record 5
# Na2MoRh2S6
Simulated XRD peak list, Cu Kα X-rays. Input: a crystal structure in Alexandria, relaxed with GGA-PBE.
Peak positions follow from Bragg's law for the DFT cell and can differ from measured ones.

Peak list (10 most intense, 10° ≤ 2θ ≤ 90°, low angle first)
- 13.4 deg, I = 100.0
- 29.2 deg, I = 15.7
- 29.3 deg, I = 7.8
- 34.2 deg, I = 78.5
- 43.4 deg, I = 22.3
- 47.0 deg, I = 16.3
- 47.2 deg, I = 8.1
- 50.9 deg, I = 8.4
- 51.2 deg, I = 16.6
- 62.8 deg, I = 8.1

Atomic structure:
abc: 6.201 6.201 6.914
angles: 98.57 98.57 120.41
Element x y z (fractional)
Na  0.166  0.834  0.000
Na  0.834  0.166  0.000
Mo  0.000  0.000  0.500
Rh  0.333  0.667  0.500
Rh  0.667  0.333  0.500
S  0.063  0.406  0.694
S  0.274  0.274  0.303
S  0.406  0.063  0.694
S  0.594  0.937  0.306
S  0.726  0.726  0.697
S  0.937  0.594  0.306



Record 6
# Rb7NaAu3
Simulated XRD peak list, Cu Kα X-rays. Input: a crystal structure in Alexandria, relaxed with GGA-PBE.
Peak positions follow from Bragg's law for the DFT cell and can differ from measured ones.

Peak list (10 most intense, 10° ≤ 2θ ≤ 90°, low angle first)
- 10.9 deg, I = 78.5
- 17.0 deg, I = 53.3
- 23.3 deg, I = 100.0
- 25.4 deg, I = 81.5
- 26.1 deg, I = 98.0
- 27.3 deg, I = 40.0
- 34.1 deg, I = 34.1
- 34.5 deg, I = 35.9
- 36.4 deg, I = 40.7
- 36.6 deg, I = 41.1

Atomic structure:
abc: 8.431 8.431 8.915
angles: 99.34 99.34 101.36
Element x y z (fractional)
Rb  0.000  0.000  0.000
Rb  0.117  0.513  0.274
Rb  0.358  0.358  0.796
Rb  0.487  0.883  0.726
Rb  0.513  0.117  0.274
Rb  0.642  0.642  0.204
Rb  0.883  0.487  0.726
Na  0.000  0.000  0.500
Au  0.278  0.722  0.000
Au  0.500  0.500  0.500
Au  0.722  0.278  0.000



Record 7
# KGa2Cl7
Simulated XRD peak list, Cu Kα X-rays. Input: a crystal structure in Alexandria, relaxed with GGA-PBE.
Peak positions follow from Bragg's law for the DFT cell and can differ from measured ones.

Peak list (10 most intense, 10° ≤ 2θ ≤ 90°, low angle first)
- 14.1 deg, I = 90.0
- 16.6 deg, I = 75.9
- 18.7 deg, I = 47.9
- 20.6 deg, I = 100.0
- 24.0 deg, I = 37.9
- 28.5 deg, I = 52.3
- 28.9 deg, I = 66.3
- 29.8 deg, I = 32.4
- 34.6 deg, I = 43.8
- 40.0 deg, I = 35.1

Atomic structure:
abc: 12.564 10.231 10.254
angles: 90.00 90.00 90.00
Element x y z (fractional)
K  0.105  0.153  0.000
K  0.395  0.653  0.500
K  0.605  0.347  0.000
K  0.895  0.847  0.500
Ga  0.122  0.596  0.845
Ga  0.174  0.038  0.613
Ga  0.326  0.538  0.113
Ga  0.378  0.096  0.345
Ga  0.622  0.904  0.845
Ga  0.674  0.462  0.613
Ga  0.826  0.962  0.113
Ga  0.878  0.404  0.345
Cl  0.014  0.110  0.654
Cl  0.021  0.760  0.791
Cl  0.039  0.456  0.969
Cl  0.167  0.860  0.493
Cl  0.211  0.510  0.685
Cl  0.229  0.528  0.287
Cl  0.250  0.196  0.479
Cl  0.250  0.696  0.979
Cl  0.271  0.028  0.787
Cl  0.289  0.010  0.185
Cl  0.333  0.360  0.993
Cl  0.461  0.956  0.469
Cl  0.479  0.260  0.291
Cl  0.486  0.610  0.154
Cl  0.514  0.390  0.654
Cl  0.521  0.740  0.791
Cl  0.539  0.044  0.969
Cl  0.667  0.640  0.493
Cl  0.711  0.990  0.685
Cl  0.729  0.972  0.287
Cl  0.750  0.304  0.479
Cl  0.750  0.804  0.979
Cl  0.771  0.472  0.787
Cl  0.789  0.490  0.185
Cl  0.833  0.140  0.993
Cl  0.961  0.544  0.469
Cl  0.979  0.240  0.291
Cl  0.986  0.890  0.154



Record 8
# PrThRhS
Simulated XRD peak list, Cu Kα X-rays. Input: a crystal structure in Alexandria, relaxed with GGA-PBE.
Peak positions follow from Bragg's law for the DFT cell and can differ from measured ones.

Peak list (10 most intense, 10° ≤ 2θ ≤ 90°, low angle first)
- 11.9 deg, I = 35.3
- 26.0 deg, I = 26.8
- 26.9 deg, I = 49.0
- 32.7 deg, I = 100.0
- 38.3 deg, I = 38.6
- 45.3 deg, I = 45.3
- 48.4 deg, I = 23.7
- 57.0 deg, I = 20.5
- 68.9 deg, I = 19.9
- 75.7 deg, I = 17.9

Atomic structure:
abc: 7.804 7.804 7.804
angles: 29.71 29.71 29.71
Element x y z (fractional)
Pr  0.000  0.000  0.000
Th  0.820  0.820  0.820
Rh  0.417  0.417  0.417
S  0.241  0.241  0.241



Record 9
# Sr3HgGe2Au6
Simulated XRD peak list, Cu Kα X-rays. Input: a crystal structure in Alexandria, relaxed with GGA-PBE.
Peak positions follow from Bragg's law for the DFT cell and can differ from measured ones.

Peak list (10 most intense, 10° ≤ 2θ ≤ 90°, low angle first)
- 10.4 deg, I = 20.2
- 18.8 deg, I = 46.9
- 20.9 deg, I = 25.3
- 31.6 deg, I = 22.2
- 33.3 deg, I = 100.0
- 34.6 deg, I = 38.8
- 38.2 deg, I = 62.5
- 42.2 deg, I = 16.1
- 45.3 deg, I = 42.3
- 56.2 deg, I = 28.8

Atomic structure:
abc: 6.544 6.544 8.483
angles: 90.00 90.00 120.00
Element x y z (fractional)
Sr  0.000  0.000  0.000
Sr  0.333  0.667  0.650
Sr  0.667  0.333  0.350
Hg  0.000  0.000  0.500
Ge  0.333  0.667  0.052
Ge  0.667  0.333  0.948
Au  0.182  0.365  0.282
Au  0.182  0.818  0.282
Au  0.365  0.182  0.718
Au  0.635  0.818  0.282
Au  0.818  0.182  0.718
Au  0.818  0.635  0.718



Record 10
# Th2Ga4CoCu3
Simulated XRD peak list, Cu Kα X-rays. Input: a crystal structure in Alexandria, relaxed with GGA-PBE.
Peak positions follow from Bragg's law for the DFT cell and can differ from measured ones.

Peak list (10 most intense, 10° ≤ 2θ ≤ 90°, low angle first)
- 22.8 deg, I = 30.4
- 29.8 deg, I = 29.3
- 34.4 deg, I = 76.3
- 35.0 deg, I = 100.0
- 42.7 deg, I = 55.5
- 50.9 deg, I = 25.2
- 56.0 deg, I = 38.2
- 62.0 deg, I = 18.0
- 68.5 deg, I = 20.5
- 73.2 deg, I = 23.1

Atomic structure:
abc: 4.236 4.236 9.905
angles: 90.00 90.00 90.00
Element x y z (fractional)
Th  0.000  0.500  0.236
Th  0.500  0.000  0.764
Ga  0.000  0.000  0.500
Ga  0.000  0.500  0.877
Ga  0.500  0.000  0.123
Ga  0.500  0.500  0.500
Co  0.500  0.500  0.000
Cu  0.000  0.000  0.000
Cu  0.000  0.500  0.633
Cu  0.500  0.000  0.367



Record 11
# Pr3Zn2Ru4
Simulated XRD peak list, Cu Kα X-rays. Input: a crystal structure in Alexandria, relaxed with GGA-PBE.
Peak positions follow from Bragg's law for the DFT cell and can differ from measured ones.

Peak list (10 most intense, 10° ≤ 2θ ≤ 90°, low angle first)
- 25.0 deg, I = 44.2
- 30.0 deg, I = 31.8
- 32.5 deg, I = 51.6
- 33.9 deg, I = 24.6
- 37.0 deg, I = 42.1
- 37.3 deg, I = 23.5
- 37.5 deg, I = 23.7
- 40.9 deg, I = 100.0
- 41.6 deg, I = 31.7
- 62.3 deg, I = 19.9

Atomic structure:
abc: 5.796 5.796 8.297
angles: 98.19 98.19 44.77
Element x y z (fractional)
Pr  0.000  0.000  0.000
Pr  0.370  0.370  0.625
Pr  0.630  0.630  0.375
Zn  0.335  0.335  0.231
Zn  0.665  0.665  0.769
Ru  0.076  0.076  0.627
Ru  0.246  0.246  0.919
Ru  0.754  0.754  0.081
Ru  0.924  0.924  0.373



Record 12
# Ti5ZnPd2
Simulated XRD peak list, Cu Kα X-rays. Input: a crystal structure in Alexandria, relaxed with GGA-PBE.
Peak positions follow from Bragg's law for the DFT cell and can differ from measured ones.

Peak list (10 most intense, 10° ≤ 2θ ≤ 90°, low angle first)
- 19.9 deg, I = 10.7
- 28.3 deg, I = 9.9
- 34.5 deg, I = 5.3
- 40.1 deg, I = 100.0
- 40.4 deg, I = 48.9
- 57.6 deg, I = 8.1
- 58.5 deg, I = 15.5
- 72.7 deg, I = 11.7
- 73.3 deg, I = 22.7
- 73.4 deg, I = 7.6

Atomic structure:
abc: 5.491 5.491 5.486
angles: 109.81 109.81 108.72
Element x y z (fractional)
Ti  0.000  0.000  0.000
Ti  0.000  0.000  0.500
Ti  0.000  0.500  0.500
Ti  0.500  0.000  0.500
Ti  0.500  0.500  0.000
Zn  0.500  0.500  0.500
Pd  0.000  0.500  0.000
Pd  0.500  0.000  0.000